# 1
This entry pairs a crystal structure of TbNi2Sn8 with its simulated powder X-ray diffraction pattern. Radiation: a wavelength of 1.5418 Å. Structure: a structure optimized by DFT (PBE).

Structural model:
Unit cell a=6.334 b=6.334 c=7.484 alpha=90.00 beta=90.00 gamma=90.00
Space group P4/mmm (No. 123)
Inequivalent atoms, fractional coordinates:
Tb: 0.000 0.000 0.000
Ni: 0.000 0.500 0.500
Sn: 0.255 0.255 0.293

Largest 10 diffraction maxima, in order of rising 2θ, 2θ = 10–80°:
2θ = 11.82°, I 16; 2θ = 23.14°, I 22; 2θ = 23.78°, I 18; 2θ = 28.18°, I 38; 2θ = 37.19°, I 100; 2θ = 40.27°, I 50; 2θ = 46.33°, I 19; 2θ = 55.11°, I 14; 2θ = 58.26°, I 17; 2θ = 71.18°, I 31

# 2
This entry pairs a crystal structure of NdDy2Ir with its simulated powder X-ray diffraction pattern. Radiation: a wavelength of 1.5418 Å. Structure: a structure optimized by DFT (PBE).

Structural model:
Unit cell a=7.293 b=9.416 c=6.473 alpha=90.00 beta=90.00 gamma=90.00
Space group Pnma (No. 62)
Inequivalent atoms, fractional coordinates:
Nd: 0.034 0.250 0.134
Dy: 0.175 0.065 0.670
Ir: 0.118 0.750 0.435

Largest 10 diffraction maxima, in order of rising 2θ, 2θ = 10–80°:
2θ = 29.68°, I 23; 2θ = 31.02°, I 32; 2θ = 31.70°, I 100; 2θ = 34.04°, I 95; 2θ = 35.85°, I 29; 2θ = 37.82°, I 33; 2θ = 39.60°, I 24; 2θ = 48.05°, I 21; 2θ = 53.03°, I 25; 2θ = 58.06°, I 18

# 3
This entry pairs a crystal structure of Er12TcNi6 with its simulated powder X-ray diffraction pattern. Radiation: a wavelength of 1.5418 Å. Structure: a structure optimized by DFT (PBE).

Structural model:
Unit cell a=9.458 b=9.458 c=9.458 alpha=90.00 beta=90.00 gamma=90.00
Space group Im-3 (No. 204)
Inequivalent atoms, fractional coordinates:
Er: 0.000 0.182 0.295
Tc: 0.000 0.000 0.000
Ni: 0.000 0.373 0.500

Largest 10 diffraction maxima, in order of rising 2θ, 2θ = 10–80°:
2θ = 29.87°, I 37; 2θ = 32.80°, I 38; 2θ = 35.51°, I 100; 2θ = 38.06°, I 16; 2θ = 40.46°, I 13; 2θ = 49.11°, I 13; 2θ = 56.75°, I 35; 2θ = 58.55°, I 12; 2θ = 60.32°, I 32; 2θ = 70.39°, I 17

# 4
This entry pairs a crystal structure of PaNb2Se6 with its simulated powder X-ray diffraction pattern. Radiation: a wavelength of 1.5418 Å. Structure: a structure optimized by DFT (PBE).

Structural model:
Unit cell a=6.3585 b=6.3585 c=20.0913 alpha=90.00 beta=90.00 gamma=120.00
Space group R-3 (No. 148, hexagonal axes)
Inequivalent atoms, fractional coordinates:
Pa: 0.0000 0.0000 0.0000
Nb: 0.0000 0.0000 0.1636
Se: 0.9997 0.3393 0.9107

Largest 10 diffraction maxima, in order of rising 2θ, 2θ = 10–80°:
2θ = 16.69°, I 96; 2θ = 27.48°, I 29; 2θ = 31.14°, I 75; 2θ = 32.83°, I 22; 2θ = 35.26°, I 19; 2θ = 39.07°, I 100; 2θ = 43.73°, I 18; 2θ = 49.67°, I 46; 2θ = 64.94°, I 22; 2θ = 77.10°, I 22

# 5
This entry pairs a crystal structure of Li15AlIn4 with its simulated powder X-ray diffraction pattern. Radiation: a wavelength of 1.5418 Å. Structure: a structure optimized by DFT (PBE).

Structural model:
Unit cell a=4.023 b=4.023 c=22.752 alpha=90.00 beta=90.00 gamma=90.00
Space group P4/mmm (No. 123)
Inequivalent atoms, fractional coordinates:
Li: 0.000 0.000 0.000
Li: 0.000 0.000 0.197
Li: 0.000 0.000 0.399
Li: 0.000 0.500 0.096
Li: 0.000 0.500 0.298
Li: 0.000 0.500 0.500
Al: 0.500 0.500 0.000
In: 0.500 0.500 0.197
In: 0.500 0.500 0.399

Largest 10 diffraction maxima, in order of rising 2θ, 2θ = 10–80°:
2θ = 19.51°, I 67; 2θ = 22.10°, I 100; 2θ = 29.64°, I 96; 2θ = 31.45°, I 42; 2θ = 37.28°, I 76; 2θ = 45.07°, I 23; 2θ = 45.82°, I 29; 2θ = 49.55°, I 22; 2θ = 51.43°, I 21; 2θ = 54.88°, I 32

# 6
This entry pairs a crystal structure of Cs2In3I9 with its simulated powder X-ray diffraction pattern. Radiation: a wavelength of 1.5418 Å. Structure: a structure optimized by DFT (PBE).

Structural model:
Unit cell a=13.934 b=19.050 c=12.505 alpha=90.00 beta=121.32 gamma=90.00
Space group C2/m (No. 12)
Inequivalent atoms, fractional coordinates:
Cs: 0.061 0.169 0.296
In: 0.150 0.500 0.815
In: 0.181 0.391 0.198
I: 0.000 0.290 0.000
I: 0.029 0.396 0.319
I: 0.131 0.000 0.623
I: 0.179 0.225 0.647
I: 0.227 0.107 0.994
I: 0.235 0.000 0.311

Largest 10 diffraction maxima, in order of rising 2θ, 2θ = 10–80°:
2θ = 15.96°, I 24; 2θ = 23.80°, I 55; 2θ = 24.30°, I 76; 2θ = 25.01°, I 45; 2θ = 27.18°, I 41; 2θ = 27.85°, I 100; 2θ = 31.26°, I 51; 2θ = 31.94°, I 36; 2θ = 40.19°, I 48; 2θ = 41.34°, I 30

# 7
This entry pairs a crystal structure of Pa3Fe6Ge2 with its simulated powder X-ray diffraction pattern. Radiation: a wavelength of 1.5418 Å. Structure: a structure optimized by DFT (PBE).

Structural model:
Unit cell a=8.764 b=8.764 c=8.764 alpha=90.00 beta=90.00 gamma=90.00
Space group Im-3m (No. 229)
Inequivalent atoms, fractional coordinates:
Pa: 0.000 0.000 0.288
Fe: 0.000 0.351 0.351
Ge: 0.250 0.250 0.250

Largest 10 diffraction maxima, in order of rising 2θ, 2θ = 10–80°:
2θ = 24.89°, I 55; 2θ = 32.30°, I 51; 2θ = 35.48°, I 79; 2θ = 38.43°, I 25; 2θ = 41.20°, I 33; 2θ = 43.83°, I 100; 2θ = 57.61°, I 47; 2θ = 61.72°, I 19; 2θ = 65.68°, I 16; 2θ = 71.40°, I 23

# 8
This entry pairs a crystal structure of La2Cl with its simulated powder X-ray diffraction pattern. Radiation: a wavelength of 1.5418 Å. Structure: a structure optimized by DFT (PBE).

Structural model:
Unit cell a=5.889 b=5.889 c=10.354 alpha=90.00 beta=90.00 gamma=90.00
Space group I4_1/amd (No. 141, origin choice 2)
Inequivalent atoms, fractional coordinates:
La: 0.000 0.250 0.088
Cl: 0.000 0.250 0.375

Largest 10 diffraction maxima, in order of rising 2θ, 2θ = 10–80°:
2θ = 27.49°, I 100; 2θ = 30.01°, I 43; 2θ = 30.36°, I 87; 2θ = 43.21°, I 31; 2θ = 43.47°, I 32; 2θ = 46.48°, I 13; 2θ = 46.72°, I 21; 2θ = 52.20°, I 35; 2θ = 56.53°, I 15; 2θ = 71.67°, I 14

# 9
This entry pairs a crystal structure of KInAg4 with its simulated powder X-ray diffraction pattern. Radiation: a wavelength of 1.5418 Å. Structure: a structure optimized by DFT (PBE).

Structural model:
Unit cell a=8.453 b=4.274 c=8.932 alpha=90.00 beta=90.00 gamma=90.00
Space group Pmma (No. 51)
Inequivalent atoms, fractional coordinates:
K: 0.250 0.000 0.127
In: 0.250 0.000 0.733
Ag: 0.000 0.000 0.500
Ag: 0.039 0.500 0.712
Ag: 0.250 0.500 0.450

Largest 10 diffraction maxima, in order of rising 2θ, 2θ = 10–80°:
2θ = 14.43°, I 20; 2θ = 31.41°, I 21; 2θ = 31.87°, I 21; 2θ = 36.02°, I 100; 2θ = 39.62°, I 22; 2θ = 42.30°, I 24; 2θ = 42.77°, I 41; 2θ = 43.51°, I 17; 2θ = 61.74°, I 10; 2θ = 73.25°, I 12